Record 1
This entry pairs a crystal structure of ZnBi2O5 with its simulated powder diffraction line list. Radiation: Cu Kα X-rays. Structure: DFT lattice parameters and positions (PBE).
Lines closer than 0.1° are merged.

Crystal structure
Unit cell a=7.874 b=3.535 c=17.079 alpha=90.00 beta=90.00 gamma=90.00
Fractional positions:
Zn (0.155, 0.250, 0.093)
Zn (0.345, 0.750, 0.593)
Zn (0.655, 0.250, 0.407)
Zn (0.845, 0.750, 0.907)
Bi (0.102, 0.250, 0.752)
Bi (0.179, 0.250, 0.448)
Bi (0.321, 0.750, 0.948)
Bi (0.398, 0.750, 0.252)
Bi (0.602, 0.250, 0.748)
Bi (0.679, 0.250, 0.052)
Bi (0.821, 0.750, 0.552)
Bi (0.898, 0.750, 0.248)
O (0.047, 0.750, 0.832)
O (0.115, 0.750, 0.517)
O (0.128, 0.750, 0.043)
O (0.145, 0.750, 0.304)
O (0.165, 0.750, 0.680)
O (0.335, 0.250, 0.180)
O (0.355, 0.250, 0.804)
O (0.372, 0.250, 0.543)
O (0.385, 0.250, 0.017)
O (0.453, 0.250, 0.332)
O (0.547, 0.750, 0.668)
O (0.615, 0.750, 0.983)
O (0.628, 0.750, 0.457)
O (0.645, 0.750, 0.196)
O (0.665, 0.750, 0.820)
O (0.835, 0.250, 0.320)
O (0.855, 0.250, 0.696)
O (0.872, 0.250, 0.957)
O (0.885, 0.250, 0.483)
O (0.953, 0.250, 0.168)

Most intense lines, 2θ from 10° to 90°, most intense first:
2θ/deg  d_spacing  I (rel.)
29.8  3.003  100
27.5  3.238  97
34.1  2.630  44
47.0  1.932  38
20.8  4.270  30
59.6  1.551  23
24.9  3.575  22
31.4  2.847  20
54.4  1.686  17
51.7  1.767  17

---

Record 2
This entry pairs a crystal structure of ZnBiO3 with its simulated powder diffraction line list. Radiation: Cu Kα X-rays. Structure: DFT lattice parameters and positions (PBE).
Lines closer than 0.1° are merged.

Crystal structure
Unit cell a=5.666 b=5.604 c=10.013 alpha=90.00 beta=122.97 gamma=90.00
Fractional positions:
Zn (0.220, 0.017, 0.244)
Zn (0.220, 0.483, 0.744)
Zn (0.780, 0.517, 0.256)
Zn (0.780, 0.983, 0.756)
Bi (0.000, 0.000, 0.500)
Bi (0.000, 0.500, 0.000)
Bi (0.500, 0.000, 0.000)
Bi (0.500, 0.500, 0.500)
O (0.131, 0.131, 0.767)
O (0.131, 0.369, 0.267)
O (0.235, 0.644, 0.569)
O (0.235, 0.856, 0.069)
O (0.450, 0.171, 0.589)
O (0.450, 0.329, 0.089)
O (0.550, 0.671, 0.911)
O (0.550, 0.829, 0.411)
O (0.765, 0.144, 0.931)
O (0.765, 0.356, 0.431)
O (0.869, 0.631, 0.733)
O (0.869, 0.869, 0.233)

Most intense lines, 2θ from 10° to 90°, most intense first:
2θ/deg  d_spacing  I (rel.)
30.6  2.917  100
31.2  2.865  97
22.3  3.984  54
31.6  2.832  46
31.9  2.802  45
56.4  1.631  44
45.5  1.992  38
21.2  4.200  33
54.6  1.680  23
43.1  2.100  23

---

Record 3
This entry pairs a crystal structure of ZnBi4O8 with its simulated powder diffraction line list. Radiation: Cu Kα X-rays. Structure: DFT lattice parameters and positions (PBE).
Lines closer than 0.1° are merged.

Crystal structure
Unit cell a=3.450 b=7.487 c=8.933 alpha=101.33 beta=93.43 gamma=93.75
Fractional positions:
Zn (0.000, 0.000, 0.000)
Bi (0.027, 0.118, 0.675)
Bi (0.419, 0.699, 0.742)
Bi (0.514, 0.317, 0.370)
Bi (0.978, 0.481, 0.053)
O (0.058, 0.426, 0.518)
O (0.442, 0.392, 0.898)
O (0.478, 0.987, 0.873)
O (0.486, 0.095, 0.517)
O (0.515, 0.555, 0.212)
O (0.933, 0.820, 0.633)
O (0.983, 0.230, 0.145)
O (0.989, 0.725, 0.958)

Most intense lines, 2θ from 10° to 90°, most intense first:
2θ/deg  d_spacing  I (rel.)
17.3  5.125  100
28.5  3.132  80
30.7  2.912  63
28.3  3.156  60
34.4  2.608  50
29.9  2.993  45
31.9  2.802  44
29.5  3.028  43
10.1  8.735  40
12.1  7.318  34

---

Record 4
This entry pairs a crystal structure of Zn2Bi2O5 with its simulated powder diffraction line list. Radiation: Cu Kα X-rays. Structure: DFT lattice parameters and positions (PBE).
Lines closer than 0.1° are merged.

Crystal structure
Unit cell a=3.490 b=12.176 c=6.524 alpha=90.00 beta=100.61 gamma=90.00
Fractional positions:
Zn (0.004, 0.000, 0.022)
Zn (0.081, 0.275, 0.369)
Zn (0.919, 0.775, 0.631)
Zn (0.996, 0.500, 0.978)
Bi (0.346, 0.518, 0.504)
Bi (0.487, 0.766, 0.146)
Bi (0.513, 0.266, 0.854)
Bi (0.654, 0.018, 0.496)
O (0.013, 0.331, 0.083)
O (0.096, 0.619, 0.180)
O (0.127, 0.112, 0.384)
O (0.358, 0.819, 0.479)
O (0.446, 0.466, 0.838)
O (0.554, 0.966, 0.162)
O (0.642, 0.319, 0.521)
O (0.873, 0.612, 0.616)
O (0.904, 0.119, 0.820)
O (0.987, 0.831, 0.917)

Most intense lines, 2θ from 10° to 90°, most intense first:
2θ/deg  d_spacing  I (rel.)
29.3  3.044  100
35.1  2.556  98
20.1  4.415  73
28.1  3.174  70
28.8  3.101  57
31.5  2.837  56
30.9  2.892  50
15.6  5.674  41
32.6  2.745  35
55.2  1.664  33